Diffraction record for K8MgCo2Mo8O30. The powder diffraction line list is theoretical, not measured: it uses a crystal structure in the Materials Project, relaxed with GGA+U and copper Kα.
Lines closer than 0.1° are merged.

Structure:
```
data_K8MgCo2Mo8O30
_chemical_formula_sum 'K8 Mg1 Co2 Mo8 O30'
_symmetry_space_group_name_H-M 'P 1'
_symmetry_Int_Tables_number 1
_cell_length_a 8.482
_cell_length_b 10.484
_cell_length_c 10.511
_cell_angle_alpha 119.51
_cell_angle_beta 90.60
_cell_angle_gamma 91.18
loop_
_symmetry_equiv_pos_as_xyz
'x,y,z'
loop_
_atom_site_label
_atom_site_fract_x
_atom_site_fract_y
_atom_site_fract_z
K1 0.000 0.000 0.000
K2 0.002 0.799 0.532
K3 0.123 0.099 0.417
K4 0.223 0.223 0.829
K5 0.274 0.398 0.327
K6 0.282 0.696 0.108
K7 0.615 0.093 0.419
K8 0.987 0.501 0.729
Mg1 0.458 0.980 0.752
Co1 0.613 0.423 0.080
Co2 0.678 0.765 0.751
Mo1 0.292 0.747 0.752
Mo2 0.503 0.421 0.746
Mo3 0.510 0.077 0.081
Mo4 0.515 0.753 0.418
Mo5 0.770 0.424 0.409
Mo6 0.772 0.761 0.090
Mo7 0.777 0.127 0.758
Mo8 0.978 0.443 0.097
O1 0.068 0.464 0.955
O2 0.071 0.589 0.256
O3 0.073 0.287 0.083
O4 0.191 0.759 0.907
O5 0.194 0.610 0.588
O6 0.232 0.929 0.759
O7 0.348 0.301 0.628
O8 0.362 0.087 0.204
O9 0.371 0.869 0.410
O10 0.473 0.445 0.927
O11 0.479 0.222 0.039
O12 0.483 0.571 0.262
O13 0.484 0.600 0.755
O14 0.497 0.766 0.603
O15 0.498 0.904 0.895
O16 0.565 0.107 0.697
O17 0.580 0.356 0.412
O18 0.582 0.831 0.148
O19 0.694 0.353 0.687
O20 0.700 0.100 0.157
O21 0.703 0.825 0.414
O22 0.779 0.955 0.777
O23 0.784 0.586 0.093
O24 0.787 0.436 0.239
O25 0.788 0.297 0.949
O26 0.793 0.605 0.570
O27 0.798 0.736 0.907
O28 0.919 0.314 0.422
O29 0.923 0.888 0.204
O30 0.946 0.110 0.649
```

Peak list (8 most intense, 2θ = 10–90°, sorted by position)
- 2θ = 10.43°, d 8.478, rel. 75, hkl 1 0 0
- 2θ = 19.76°, d 4.493, rel. 59, hkl 1 -2 1
- 2θ = 20.07°, d 4.423, rel. 36, hkl 1 1 1
- 2θ = 26.55°, d 3.358, rel. 33, hkl -2 1 1
- 2θ = 27.16°, d 3.283, rel. 36, hkl 2 -1 2
- 2θ = 27.34°, d 3.262, rel. 62, hkl 2 2 -1
- 2θ = 29.34°, d 3.044, rel. 100, hkl 0 0 3
- 2θ = 29.55°, d 3.023, rel. 48, hkl 0 3 -3

=====

Diffraction record for K8MgCo2Mo8O30. The powder diffraction line list is theoretical, not measured: it uses a crystal structure in the Materials Project, relaxed with GGA+U and copper Kα.
Lines closer than 0.1° are merged.

Structure:
```
data_K8MgCo2Mo8O30
_chemical_formula_sum 'K8 Mg1 Co2 Mo8 O30'
_symmetry_space_group_name_H-M 'P 1'
_symmetry_Int_Tables_number 1
_cell_length_a 8.546
_cell_length_b 10.361
_cell_length_c 10.441
_cell_angle_alpha 118.47
_cell_angle_beta 90.79
_cell_angle_gamma 92.18
loop_
_symmetry_equiv_pos_as_xyz
'x,y,z'
loop_
_atom_site_label
_atom_site_fract_x
_atom_site_fract_y
_atom_site_fract_z
K1 0.000 0.000 0.000
K2 0.004 0.154 0.591
K3 0.036 0.525 0.284
K4 0.438 0.904 0.328
K5 0.703 0.299 0.411
K6 0.709 0.600 0.899
K7 0.738 0.794 0.626
K8 0.904 0.848 0.258
Mg1 0.994 0.432 0.923
Co1 0.326 0.242 0.974
Co2 0.388 0.560 0.635
Mo1 0.028 0.566 0.681
Mo2 0.231 0.885 0.637
Mo3 0.233 0.223 0.312
Mo4 0.274 0.598 0.986
Mo5 0.493 0.903 0.985
Mo6 0.501 0.230 0.662
Mo7 0.510 0.560 0.299
Mo8 0.699 0.229 0.993
O1 0.074 0.641 0.070
O2 0.076 0.099 0.307
O3 0.084 0.877 0.507
O4 0.199 0.043 0.814
O5 0.200 0.254 0.156
O6 0.209 0.710 0.641
O7 0.215 0.389 0.939
O8 0.232 0.394 0.483
O9 0.239 0.565 0.789
O10 0.315 0.845 0.040
O11 0.317 0.152 0.577
O12 0.326 0.635 0.306
O13 0.418 0.143 0.292
O14 0.425 0.899 0.587
O15 0.466 0.617 0.061
O16 0.495 0.081 0.982
O17 0.519 0.243 0.846
O18 0.520 0.376 0.136
O19 0.521 0.756 0.803
O20 0.523 0.409 0.671
O21 0.524 0.540 0.463
O22 0.651 0.125 0.546
O23 0.654 0.899 0.092
O24 0.669 0.687 0.321
O25 0.784 0.082 0.844
O26 0.784 0.216 0.141
O27 0.812 0.388 0.006
O28 0.927 0.510 0.510
O29 0.934 0.731 0.813
O30 0.936 0.429 0.741
```

Peak list (8 most intense, 2θ = 10–90°, sorted by position)
- 2θ = 10.36°, d 8.535, rel. 100, hkl 1 0 0
- 2θ = 19.23°, d 4.617, rel. 50, hkl -1 1 1
- 2θ = 26.57°, d 3.354, rel. 48, hkl 2 -2 1
- 2θ = 26.83°, d 3.323, rel. 51, hkl 2 1 -2
- 2θ = 27.46°, d 3.248, rel. 42, hkl 2 1 1
- 2θ = 29.21°, d 3.057, rel. 70, hkl 0 0 3
- 2θ = 29.45°, d 3.033, rel. 65, hkl 0 3 0
- 2θ = 30.00°, d 2.979, rel. 65, hkl 0 3 -3

=====

Diffraction record for K8MgCo2Mo8O30. The powder diffraction line list is theoretical, not measured: it uses a crystal structure in the Materials Project, relaxed with GGA+U and copper Kα.
Lines closer than 0.1° are merged.

Structure:
```
data_K8MgCo2Mo8O30
_chemical_formula_sum 'K8 Mg1 Co2 Mo8 O30'
_symmetry_space_group_name_H-M 'P 1'
_symmetry_Int_Tables_number 1
_cell_length_a 8.763
_cell_length_b 10.676
_cell_length_c 10.678
_cell_angle_alpha 119.99
_cell_angle_beta 90.02
_cell_angle_gamma 90.00
loop_
_symmetry_equiv_pos_as_xyz
'x,y,z'
loop_
_atom_site_label
_atom_site_fract_x
_atom_site_fract_y
_atom_site_fract_z
K1 0.000 0.000 0.000
K2 0.000 0.239 0.603
K3 0.000 0.602 0.364
K4 0.213 0.280 0.322
K5 0.309 0.358 0.984
K6 0.309 0.864 0.245
K7 0.310 0.619 0.739
K8 0.669 0.280 0.322
Mg1 0.506 0.946 0.656
Co1 0.636 0.613 0.989
Co2 0.863 0.947 0.656
Mo1 0.008 0.613 0.989
Mo2 0.160 0.947 0.656
Mo3 0.518 0.289 0.653
Mo4 0.518 0.602 0.314
Mo5 0.518 0.949 0.000
Mo6 0.788 0.613 0.673
Mo7 0.789 0.298 0.990
Mo8 0.789 0.929 0.305
O1 0.097 0.766 0.996
O2 0.098 0.468 0.837
O3 0.098 0.607 0.135
O4 0.169 0.094 0.838
O5 0.169 0.764 0.620
O6 0.169 0.983 0.509
O7 0.372 0.060 0.123
O8 0.372 0.300 0.542
O9 0.372 0.479 0.302
O10 0.480 0.782 0.465
O11 0.480 0.920 0.820
O12 0.481 0.137 0.682
O13 0.509 0.451 0.831
O14 0.509 0.617 0.152
O15 0.510 0.772 0.986
O16 0.602 0.552 0.612
O17 0.602 0.990 0.305
O18 0.603 0.298 0.050
O19 0.701 0.027 0.057
O20 0.701 0.269 0.576
O21 0.701 0.545 0.334
O22 0.809 0.792 0.693
O23 0.809 0.910 0.465
O24 0.810 0.138 0.811
O25 0.816 0.621 0.849
O26 0.816 0.753 0.137
O27 0.817 0.465 0.981
O28 0.923 0.057 0.310
O29 0.923 0.491 0.545
O30 0.924 0.292 0.113
```

Peak list (8 most intense, 2θ = 10–90°, sorted by position)
- 2θ = 10.09°, d 8.763, rel. 28, hkl 1 0 0
- 2θ = 19.47°, d 4.559, rel. 66, hkl 1 2 -1
- 2θ = 26.31°, d 3.387, rel. 100, hkl 2 1 1
- 2θ = 28.97°, d 3.082, rel. 93, hkl 0 3 0
- 2θ = 30.75°, d 2.908, rel. 14, hkl 1 -3 3
- 2θ = 32.78°, d 2.732, rel. 15, hkl 2 3 -1
- 2θ = 46.16°, d 1.966, rel. 15, hkl 1 5 -4
- 2θ = 49.75°, d 1.833, rel. 23, hkl 2 -5 4

=====

Diffraction record for K8MgCo2Mo8O30. The powder diffraction line list is theoretical, not measured: it uses a crystal structure in the Materials Project, relaxed with GGA+U and copper Kα.
Lines closer than 0.1° are merged.

Structure:
```
data_K8MgCo2Mo8O30
_chemical_formula_sum 'K8 Mg1 Co2 Mo8 O30'
_symmetry_space_group_name_H-M 'P 1'
_symmetry_Int_Tables_number 1
_cell_length_a 8.501
_cell_length_b 10.425
_cell_length_c 10.467
_cell_angle_alpha 118.29
_cell_angle_beta 90.21
_cell_angle_gamma 92.00
loop_
_symmetry_equiv_pos_as_xyz
'x,y,z'
loop_
_atom_site_label
_atom_site_fract_x
_atom_site_fract_y
_atom_site_fract_z
K1 0.000 0.000 0.000
K2 0.000 0.304 0.783
K3 0.351 0.683 0.081
K4 0.707 0.099 0.398
K5 0.714 0.387 0.198
K6 0.722 0.595 0.676
K7 0.849 0.689 0.078
K8 0.960 0.831 0.537
Mg1 0.116 0.554 0.307
Co1 0.325 0.013 0.746
Co2 0.374 0.349 0.410
Mo1 0.012 0.353 0.414
Mo2 0.212 0.017 0.410
Mo3 0.222 0.667 0.739
Mo4 0.260 0.337 0.066
Mo5 0.482 0.016 0.076
Mo6 0.488 0.712 0.433
Mo7 0.489 0.346 0.752
Mo8 0.697 0.045 0.774
O1 0.059 0.887 0.302
O2 0.071 0.666 0.857
O3 0.104 0.478 0.096
O4 0.188 0.193 0.412
O5 0.194 0.042 0.593
O6 0.197 0.158 0.914
O7 0.197 0.828 0.716
O8 0.212 0.500 0.560
O9 0.218 0.367 0.267
O10 0.288 0.703 0.368
O11 0.293 0.941 0.073
O12 0.304 0.411 0.825
O13 0.402 0.957 0.349
O14 0.411 0.680 0.815
O15 0.448 0.424 0.084
O16 0.498 0.327 0.570
O17 0.500 0.196 0.235
O18 0.503 0.029 0.905
O19 0.504 0.166 0.749
O20 0.510 0.875 0.611
O21 0.515 0.550 0.449
O22 0.630 0.907 0.091
O23 0.635 0.716 0.315
O24 0.646 0.470 0.856
O25 0.787 0.890 0.769
O26 0.788 0.057 0.627
O27 0.791 0.192 0.926
O28 0.911 0.362 0.569
O29 0.912 0.214 0.254
O30 0.940 0.529 0.412
```

Peak list (8 most intense, 2θ = 10–90°, sorted by position)
- 2θ = 10.41°, d 8.494, rel. 100, hkl 1 0 0
- 2θ = 19.93°, d 4.456, rel. 78, hkl 1 1 1
- 2θ = 27.06°, d 3.295, rel. 79, hkl 2 -1 2
- 2θ = 27.55°, d 3.238, rel. 58, hkl 2 2 -1
- 2θ = 29.07°, d 3.071, rel. 61, hkl 0 0 3
- 2θ = 29.21°, d 3.057, rel. 72, hkl 0 3 0
- 2θ = 29.90°, d 2.989, rel. 67, hkl 0 3 -3
- 2θ = 30.69°, d 2.913, rel. 39, hkl 1 -3 0

=====

Diffraction record for K8MgCo2Mo8O30. The powder diffraction line list is theoretical, not measured: it uses a crystal structure in the Materials Project, relaxed with GGA+U and copper Kα.
Lines closer than 0.1° are merged.

Structure:
```
data_K8MgCo2Mo8O30
_chemical_formula_sum 'K8 Mg1 Co2 Mo8 O30'
_symmetry_space_group_name_H-M 'P 1'
_symmetry_Int_Tables_number 1
_cell_length_a 8.731
_cell_length_b 10.294
_cell_length_c 10.310
_cell_angle_alpha 119.72
_cell_angle_beta 90.09
_cell_angle_gamma 90.11
loop_
_symmetry_equiv_pos_as_xyz
'x,y,z'
loop_
_atom_site_label
_atom_site_fract_x
_atom_site_fract_y
_atom_site_fract_z
K1 0.000 0.000 0.000
K2 0.000 0.464 0.211
K3 0.001 0.212 0.746
K4 0.134 0.891 0.319
K5 0.289 0.309 0.417
K6 0.291 0.575 0.906
K7 0.291 0.796 0.638
K8 0.794 0.889 0.317
Mg1 0.469 0.899 0.325
Co1 0.614 0.560 0.652
Co2 0.645 0.226 0.987
Mo1 0.297 0.226 0.987
Mo2 0.523 0.207 0.644
Mo3 0.524 0.571 0.309
Mo4 0.524 0.902 0.008
Mo5 0.778 0.222 0.331
Mo6 0.778 0.882 0.639
Mo7 0.780 0.571 0.987
Mo8 0.980 0.559 0.653
O1 0.072 0.560 0.499
O2 0.073 0.406 0.653
O3 0.073 0.713 0.806
O4 0.204 0.234 0.149
O5 0.204 0.379 0.977
O6 0.205 0.064 0.834
O7 0.384 0.074 0.502
O8 0.388 0.715 0.317
O9 0.388 0.893 0.142
O10 0.487 0.390 0.142
O11 0.488 0.071 0.996
O12 0.488 0.219 0.824
O13 0.488 0.549 0.469
O14 0.489 0.388 0.665
O15 0.489 0.744 0.826
O16 0.608 0.123 0.332
O17 0.608 0.881 0.539
O18 0.609 0.667 0.081
O19 0.719 0.164 0.601
O20 0.720 0.613 0.309
O21 0.720 0.903 0.050
O22 0.778 0.044 0.824
O23 0.778 0.245 0.168
O24 0.780 0.386 0.966
O25 0.793 0.407 0.498
O26 0.793 0.713 0.655
O27 0.795 0.555 0.802
O28 0.943 0.113 0.318
O29 0.943 0.896 0.543
O30 0.944 0.669 0.098
```

Peak list (8 most intense, 2θ = 10–90°, sorted by position)
- 2θ = 10.13°, d 8.731, rel. 84, hkl 1 0 0
- 2θ = 19.99°, d 4.441, rel. 93, hkl 1 -2 1
- 2θ = 26.73°, d 3.335, rel. 100, hkl -2 1 1
- 2θ = 26.79°, d 3.327, rel. 67, hkl 2 2 -1
- 2θ = 29.96°, d 2.982, rel. 86, hkl 0 3 0
- 2θ = 30.09°, d 2.970, rel. 42, hkl 0 3 -3
- 2θ = 33.57°, d 2.670, rel. 26, hkl 2 1 2
- 2θ = 47.08°, d 1.930, rel. 26, hkl 3 2 2

=====

Diffraction record for K8MgCo2Mo8O30. The powder diffraction line list is theoretical, not measured: it uses a crystal structure in the Materials Project, relaxed with GGA+U and copper Kα.
Lines closer than 0.1° are merged.

Structure:
```
data_K8MgCo2Mo8O30
_chemical_formula_sum 'K8 Mg1 Co2 Mo8 O30'
_symmetry_space_group_name_H-M 'P 1'
_symmetry_Int_Tables_number 1
_cell_length_a 8.546
_cell_length_b 10.357
_cell_length_c 10.549
_cell_angle_alpha 119.29
_cell_angle_beta 90.49
_cell_angle_gamma 93.27
loop_
_symmetry_equiv_pos_as_xyz
'x,y,z'
loop_
_atom_site_label
_atom_site_fract_x
_atom_site_fract_y
_atom_site_fract_z
K1 0.000 0.000 0.000
K2 0.013 0.789 0.280
K3 0.063 0.243 0.460
K4 0.298 0.682 0.586
K5 0.678 0.645 0.951
K6 0.701 0.110 0.697
K7 0.721 0.385 0.185
K8 0.815 0.739 0.610
Mg1 0.910 0.500 0.712
Co1 0.359 0.022 0.265
Co2 0.379 0.367 0.918
Mo1 0.021 0.370 0.927
Mo2 0.230 0.027 0.610
Mo3 0.241 0.698 0.917
Mo4 0.245 0.360 0.241
Mo5 0.486 0.013 0.942
Mo6 0.496 0.704 0.273
Mo7 0.516 0.366 0.592
Mo8 0.722 0.050 0.288
O1 0.049 0.672 0.799
O2 0.072 0.898 0.592
O3 0.102 0.460 0.365
O4 0.201 0.209 0.769
O5 0.203 0.508 0.924
O6 0.205 0.359 0.066
O7 0.222 0.842 0.109
O8 0.231 0.175 0.220
O9 0.232 0.037 0.442
O10 0.297 0.907 0.886
O11 0.307 0.707 0.341
O12 0.327 0.402 0.552
O13 0.408 0.965 0.640
O14 0.420 0.647 0.825
O15 0.435 0.443 0.310
O16 0.487 0.195 0.960
O17 0.510 0.545 0.092
O18 0.516 0.337 0.755
O19 0.529 0.877 0.263
O20 0.532 0.034 0.122
O21 0.539 0.174 0.415
O22 0.641 0.919 0.830
O23 0.653 0.704 0.385
O24 0.709 0.487 0.624
O25 0.807 0.896 0.138
O26 0.821 0.200 0.277
O27 0.823 0.051 0.437
O28 0.917 0.515 0.060
O29 0.928 0.344 0.756
O30 0.929 0.212 0.930
```

Peak list (8 most intense, 2θ = 10–90°, sorted by position)
- 2θ = 10.38°, d 8.525, rel. 78, hkl 1 0 0
- 2θ = 19.22°, d 4.617, rel. 43, hkl -1 1 1
- 2θ = 19.86°, d 4.470, rel. 36, hkl 1 -1 2
- 2θ = 26.33°, d 3.385, rel. 53, hkl 2 -2 1
- 2θ = 26.80°, d 3.326, rel. 35, hkl 2 1 -2
- 2θ = 27.76°, d 3.214, rel. 58, hkl 2 1 1
- 2θ = 29.15°, d 3.064, rel. 54, hkl 0 0 3
- 2θ = 29.74°, d 3.004, rel. 100, hkl 0 3 -3